# GaCo15
Computed powder X-ray diffraction pattern, Cu Kα, 1.54184 Å. Input: a structure optimized by DFT (GGA-PBE).

Cell lengths 4.2936, 33.7125, 4.2934 Å; angles 90.00, 109.32, 90.00 degrees
Space group P2/c (No. 13)
Unique sites:
Ga: 0.0000 0.2207 0.2500 (multiplicity 2)
Co: 0.0000 0.2595 0.7500 (multiplicity 2)
Co: 0.0000 0.2979 0.2500 (multiplicity 2)
Co: 0.0000 0.3333 0.7500 (multiplicity 2)
Co: 0.0000 0.3705 0.2500 (multiplicity 2)
Co: 0.0000 0.4078 0.7500 (multiplicity 2)
Co: 0.0000 0.4447 0.2500 (multiplicity 2)
Co: 0.0000 0.4816 0.7500 (multiplicity 2)
Co: 0.5000 0.2256 0.7500 (multiplicity 2)
Co: 0.5000 0.2595 0.2500 (multiplicity 2)
Co: 0.5000 0.2970 0.7500 (multiplicity 2)
Co: 0.5000 0.3333 0.2500 (multiplicity 2)
Co: 0.5000 0.3709 0.7500 (multiplicity 2)
Co: 0.5000 0.4078 0.2500 (multiplicity 2)
Co: 0.5000 0.4446 0.7500 (multiplicity 2)
Co: 0.5000 0.4815 0.2500 (multiplicity 2)

Top 8 peaks for 10° ≤ 2θ ≤ 90°, low angle first:
(0 4 0), 10.5°, I = 22; (1 13 -1), 43.4°, I = 51; (2 0 0), 44.8°, I = 100; (1 14 -1), 45.7°, I = 47; (1 13 1), 50.9°, I = 31; (2 0 -2), 52.3°, I = 31; (1 14 1), 53.0°, I = 30; (3 14 -1), 77.6°, I = 17